Diffraction record for Li2Cu2F5. The XRD peak list is theoretical, not measured: it uses a GGA-PBE-relaxed structure and Cu Kα (λ = 1.5418 Å).
Neutral-atom scattering factors, no anomalous dispersion.

The 10 most intense peaks (2θ from 10° to 80°), sorted by position:
d = 6.086 Å, I = 100.0; d = 4.046 Å, I = 52.1; d = 2.931 Å, I = 78.8; d = 2.653 Å, I = 36.7; d = 2.578 Å, I = 21.5; d = 2.211 Å, I = 25.2; d = 1.989 Å, I = 42.1; d = 1.789 Å, I = 22.9; d = 1.553 Å, I = 23.7; d = 1.448 Å, I = 22.4

```
36
Lattice="10.834 0.000 0.000 0.000 3.019 0.000 0.000 0.000 12.172" Properties=species:S:1:pos:R:3 pbc="T T T"
Li 0.337 0.659 0.000
Li 2.380 0.657 7.936
Li 3.037 2.166 1.850
Li 5.080 2.169 6.086
Li 5.754 0.851 0.000
Li 7.797 0.853 7.936
Li 8.454 2.363 1.850
Li 10.497 2.361 6.086
Cu 0.033 0.842 3.190
Cu 2.667 0.542 4.741
Cu 2.750 2.052 10.827
Cu 5.384 2.352 9.276
Cu 5.450 0.668 3.190
Cu 8.084 0.967 4.741
Cu 8.167 2.477 10.827
Cu 10.801 2.177 9.276
F 0.698 0.847 5.101
F 0.930 2.240 7.598
F 1.349 0.707 10.061
F 1.776 2.136 0.334
F 2.024 0.627 2.825
F 3.393 2.137 8.911
F 3.640 0.626 6.420
F 4.068 2.217 3.975
F 4.487 0.730 1.512
F 4.719 2.357 11.187
F 6.115 0.663 5.101
F 6.347 2.289 7.598
F 6.766 0.802 10.061
F 7.193 2.393 0.334
F 7.441 0.883 2.825
F 8.810 2.393 8.911
F 9.057 0.883 6.420
F 9.485 2.312 3.975
F 9.904 0.779 1.512
F 10.136 2.173 11.187
```

***

Diffraction record for Li2CuF4. The XRD peak list is theoretical, not measured: it uses a GGA-PBE-relaxed structure and Cu Kα (λ = 1.5418 Å).
Neutral-atom scattering factors, no anomalous dispersion.

The 10 most intense peaks (2θ from 10° to 80°), sorted by position:
d = 4.974 Å, I = 77.0; d = 3.622 Å, I = 100.0; d = 3.606 Å, I = 71.8; d = 2.803 Å, I = 22.1; d = 2.528 Å, I = 27.9; d = 2.364 Å, I = 23.1; d = 2.356 Å, I = 27.4; d = 1.775 Å, I = 27.3; d = 1.735 Å, I = 26.8; d = 1.515 Å, I = 22.6

```
14
Lattice="5.687 0.000 0.000 0.000 5.373 0.000 -2.719 0.000 4.903" Properties=species:S:1:pos:R:3 pbc="T T T"
Li 0.000 1.064 0.000
Li -1.360 4.308 2.451
Li 2.915 1.441 2.136
Li 1.555 3.932 4.588
Cu 0.086 1.384 4.301
Cu 1.445 3.988 1.850
F -1.404 0.650 3.323
F -0.045 4.722 0.872
F 1.520 2.010 0.720
F 0.161 3.363 3.172
F 1.570 0.491 3.419
F 2.930 4.882 0.968
F 4.158 2.147 0.581
F 2.799 3.226 3.033
```

***

Diffraction record for Li2CuF4. The XRD peak list is theoretical, not measured: it uses a GGA-PBE-relaxed structure and Cu Kα (λ = 1.5418 Å).
Neutral-atom scattering factors, no anomalous dispersion.

The 10 most intense peaks (2θ from 10° to 80°), sorted by position:
d = 4.225 Å, I = 21.8; d = 3.720 Å, I = 100.0; d = 2.930 Å, I = 17.4; d = 2.329 Å, I = 16.3; d = 2.112 Å, I = 21.6; d = 2.072 Å, I = 41.7; d = 1.810 Å, I = 23.7; d = 1.565 Å, I = 10.5; d = 1.479 Å, I = 22.5; d = 1.465 Å, I = 11.1

```
14
Lattice="4.225 -2.930 0.000 4.225 2.930 0.000 0.000 0.000 5.860" Properties=species:S:1:pos:R:3 pbc="T T T"
Li 2.112 1.451 1.465
Li 2.112 -1.451 4.395
Li 6.337 1.451 1.465
Li 6.337 -1.451 4.395
Cu 0.000 0.000 0.000
Cu 4.225 0.000 2.930
F 1.960 0.000 0.000
F 4.225 1.553 4.484
F 4.225 1.377 1.555
F 2.265 0.000 2.930
F 6.185 0.000 2.930
F 4.225 -1.377 4.305
F 4.225 -1.553 1.375
F 6.489 0.000 0.000
```